# 1
Starting from a structure optimized by DFT (GGA+U), the powder X-ray diffraction pattern of K3MnO4 was computed for Cu Kα, 1.54184 Å.
Lines closer than 0.1° are merged.

Cell and atoms:
Lattice parameters (Å, degrees): 6.589 6.589 7.097 90.00 90.00 90.00
Space group I-42m (No. 121)
Symmetry-distinct sites (fractional):
K 0.000 0.000 0.000 [2 per cell]
K 0.000 0.500 0.250 [4 per cell]
Mn 0.000 0.000 0.500 [2 per cell]
O 0.152 0.152 0.360 [8 per cell]

Peak list (6 most intense, 2θ from 10° to 90°, in order of rising 2θ)
2θ (°), I (rel.), hkl
18.4, 21, 1 0 1
27.1, 58, 2 0 0
31.7, 100, 1 1 2
38.7, 29, 2 2 0
50.8, 49, 3 1 2
59.1, 16, 2 0 4


# 2
Starting from a structure optimized by DFT (GGA+U), the powder X-ray diffraction pattern of KMn2O4 was computed for Cu Kα, 1.54184 Å.
Lines closer than 0.1° are merged.

Cell and atoms:
Lattice parameters (Å, degrees): 3.051 12.691 5.135 90.00 93.35 90.00
Space group P2_1/m (No. 11)
Symmetry-distinct sites (fractional):
K 0.027 0.250 0.169 [2 per cell]
Mn 0.000 0.000 0.500 [2 per cell]
Mn 0.500 0.000 0.000 [2 per cell]
O 0.013 0.577 0.159 [4 per cell]
O 0.454 0.583 0.684 [4 per cell]

Peak list (6 most intense, 2θ from 10° to 90°, in order of rising 2θ)
2θ (°), I (rel.), hkl
14.0, 100, 0 2 0
28.1, 23, 0 4 0
36.3, 24, 1 2 -1
37.9, 17, 0 2 2
38.0, 15, 1 2 1
56.4, 19, 0 6 2